[1]
Diffraction record for Cd3Pb5. The powder XRD pattern is calculated, not measured: it uses a cell relaxed with PBE and copper Kα.

Main lines, low angle first (15° ≤ 2θ ≤ 90°):
2θ = 29.46°, intensity 22; 2θ = 32.04°, intensity 100; 2θ = 32.98°, intensity 12; 2θ = 36.04°, intensity 22; 2θ = 37.57°, intensity 20; 2θ = 37.86°, intensity 9; 2θ = 53.05°, intensity 15; 2θ = 59.84°, intensity 13; 2θ = 62.30°, intensity 15; 2θ = 64.35°, intensity 14

Cell and atoms:
Unit cell a=4.7875 b=4.9841 c=19.0120 alpha=90.00 beta=90.00 gamma=90.00
Sites, in units of the cell vectors:
Cd1 0.0000 0.0000 0.0000
Cd2 0.0000 0.5000 0.1030
Cd3 0.0000 0.5000 0.8970
Cd4 0.5000 0.0000 0.1030
Cd5 0.5000 0.0000 0.8970
Cd6 0.5000 0.5000 0.0000
Pb1 0.0000 0.0000 0.2264
Pb2 0.0000 0.0000 0.5000
Pb3 0.0000 0.0000 0.7736
Pb4 0.0000 0.5000 0.3626
Pb5 0.0000 0.5000 0.6374
Pb6 0.5000 0.0000 0.3626
Pb7 0.5000 0.0000 0.6374
Pb8 0.5000 0.5000 0.2264
Pb9 0.5000 0.5000 0.5000
Pb10 0.5000 0.5000 0.7736


[2]
Diffraction record for Tb4Er6Zr. The powder XRD pattern is calculated, not measured: it uses a cell relaxed with PBE and copper Kα.

Main lines, low angle first (15° ≤ 2θ ≤ 90°):
2θ = 30.62°, intensity 100; 2θ = 32.63°, intensity 56; 2θ = 38.29°, intensity 10; 2θ = 40.72°, intensity 10; 2θ = 47.84°, intensity 11; 2θ = 53.12°, intensity 11; 2θ = 59.64°, intensity 9; 2θ = 61.20°, intensity 21; 2θ = 61.72°, intensity 10; 2θ = 67.89°, intensity 10

Cell and atoms:
Unit cell a=8.6777 b=8.6777 c=8.8640 alpha=90.00 beta=90.00 gamma=90.00
Sites, in units of the cell vectors:
Tb1 0.1460 0.3540 0.2500
Tb2 0.1460 0.3540 0.7500
Tb3 0.3540 0.8540 0.2500
Tb4 0.3540 0.8540 0.7500
Tb5 0.6460 0.1460 0.2500
Tb6 0.6460 0.1460 0.7500
Tb7 0.8540 0.6460 0.2500
Tb8 0.8540 0.6460 0.7500
Er1 0.0000 0.0000 0.1742
Er2 0.0000 0.0000 0.8258
Er3 0.1517 0.6543 0.5000
Er4 0.1543 0.6517 0.0000
Er5 0.3457 0.1517 0.5000
Er6 0.3483 0.1543 0.0000
Er7 0.5000 0.5000 0.3258
Er8 0.5000 0.5000 0.6742
Er9 0.6517 0.8457 0.0000
Er10 0.6543 0.8483 0.5000
Er11 0.8457 0.3483 0.0000
Er12 0.8483 0.3457 0.5000
Zr1 0.0000 0.0000 0.5000
Zr2 0.5000 0.5000 0.0000